# 1
MgMo2HO6: computed X-ray diffraction stick pattern (λ = 1.5418 Å (Cu Kα)), based on a GGA+U-relaxed structure.

Atomic structure:
```
data_MgMo2HO6
_chemical_formula_sum 'Mg1 Mo2 H1 O6'
_cell_length_a 3.9851
_cell_length_b 4.0027
_cell_length_c 7.8398
_cell_angle_alpha 90.82
_cell_angle_beta 104.68
_cell_angle_gamma 90.16
_space_group_name_H-M_alt 'P 1'
_space_group_IT_number 1
loop_
_space_group_symop_operation_xyz
'x,y,z'
loop_
_atom_site_label
_atom_site_type_symbol
_atom_site_fract_x
_atom_site_fract_y
_atom_site_fract_z
_atom_site_occupancy
Mg1 Mg 0.0000 0.0000 0.0000 1
Mo1 Mo 0.0714 0.5297 0.3483 1
Mo2 Mo 0.3380 0.0499 0.6744 1
H1 H 0.5121 0.3200 0.0038 1
O1 O 0.0279 0.5229 0.0966 1
O2 O 0.1632 0.0295 0.3872 1
O3 O 0.2972 0.5335 0.6265 1
O4 O 0.4799 0.0848 0.9647 1
O5 O 0.6363 0.5258 0.3618 1
O6 O 0.8587 0.0044 0.7269 1
```

Peak list (6 most intense, 2θ from 10° to 90°, by angle)
two_theta	I/Imax
11.67	51.0
23.08	100.0
25.00	47.7
25.32	50.0
32.30	25.0
35.52	41.0

***

# 2
MgMo2HO6: computed X-ray diffraction stick pattern (λ = 1.5418 Å (Cu Kα)), based on a GGA+U-relaxed structure.

Atomic structure:
```
data_MgMo2HO6
_chemical_formula_sum 'Mg1 Mo2 H1 O6'
_cell_length_a 3.8618
_cell_length_b 4.0881
_cell_length_c 8.0169
_cell_angle_alpha 89.78
_cell_angle_beta 77.98
_cell_angle_gamma 89.98
_space_group_name_H-M_alt 'P 1'
_space_group_IT_number 1
loop_
_space_group_symop_operation_xyz
'x,y,z'
loop_
_atom_site_label
_atom_site_type_symbol
_atom_site_fract_x
_atom_site_fract_y
_atom_site_fract_z
_atom_site_occupancy
Mg1 Mg 0.0000 0.0000 0.0000 1
Mo1 Mo 0.6306 0.9889 0.6881 1
Mo2 Mo 0.7683 0.4910 0.3770 1
H1 H 0.6527 0.5005 0.0652 1
O1 O 0.1196 0.9846 0.7140 1
O2 O 0.2792 0.4840 0.3456 1
O3 O 0.5196 0.9954 0.9454 1
O4 O 0.6538 0.4875 0.6340 1
O5 O 0.7482 0.9882 0.4218 1
O6 O 0.8862 0.4968 0.0970 1
```

Peak list (6 most intense, 2θ from 10° to 90°, by angle)
two_theta	I/Imax
11.28	66.4
23.55	52.3
23.93	43.7
24.56	100.0
34.31	37.7
44.32	25.6

***

# 3
MgV2P2H8O14: computed X-ray diffraction stick pattern (λ = 1.5418 Å (Cu Kα)), based on a GGA+U-relaxed structure.

Atomic structure:
```
data_MgV2P2H8O14
_chemical_formula_sum 'Mg1 V2 P2 H8 O14'
_cell_length_a 6.3526
_cell_length_b 6.3668
_cell_length_c 8.0837
_cell_angle_alpha 112.81
_cell_angle_beta 112.93
_cell_angle_gamma 90.35
_space_group_name_H-M_alt 'P 1'
_space_group_IT_number 1
loop_
_space_group_symop_operation_xyz
'x,y,z'
loop_
_atom_site_label
_atom_site_type_symbol
_atom_site_fract_x
_atom_site_fract_y
_atom_site_fract_z
_atom_site_occupancy
Mg1 Mg 0.0000 0.0000 0.0000 1
V1 V 0.2762 0.2831 0.5571 1
V2 V 0.7227 0.7281 0.4463 1
P1 P 0.2492 0.7556 0.5008 1
P2 P 0.7489 0.2564 0.5025 1
H1 H 0.1226 0.5836 0.8987 1
H2 H 0.2562 0.7238 0.1350 1
H3 H 0.3152 0.1099 0.8913 1
H4 H 0.4212 0.2417 0.1283 1
H5 H 0.5772 0.7664 0.8815 1
H6 H 0.6941 0.8925 0.1193 1
H7 H 0.7655 0.3023 0.8834 1
H8 H 0.8904 0.4227 0.1201 1
O1 O 0.0132 0.3415 0.6382 1
O2 O 0.1567 0.1616 0.3141 1
O3 O 0.1937 0.7390 0.0080 1
O4 O 0.2759 0.1841 0.0046 1
O5 O 0.3002 0.0188 0.6374 1
O6 O 0.3351 0.6270 0.6369 1
O7 O 0.3783 0.7062 0.3646 1
O8 O 0.6213 0.3070 0.6397 1
O9 O 0.6622 0.3845 0.3659 1
O10 O 0.6973 0.9927 0.3657 1
O11 O 0.7261 0.8201 0.0011 1
O12 O 0.8202 0.2724 0.0027 1
O13 O 0.8445 0.8471 0.6893 1
O14 O 0.9851 0.6698 0.3639 1
```

Peak list (6 most intense, 2θ from 10° to 90°, by angle)
two_theta	I/Imax
13.13	100.0
24.23	24.7
26.43	26.8
28.06	38.3
31.01	21.3
31.12	63.0

***

# 4
MgV4H8O14: computed X-ray diffraction stick pattern (λ = 1.5418 Å (Cu Kα)), based on a GGA+U-relaxed structure.

Atomic structure:
```
data_MgV4H8O14
_chemical_formula_sum 'Mg1 V4 H8 O14'
_cell_length_a 6.4117
_cell_length_b 6.5591
_cell_length_c 8.0073
_cell_angle_alpha 84.77
_cell_angle_beta 66.81
_cell_angle_gamma 79.23
_space_group_name_H-M_alt 'P -1'
_space_group_IT_number 2
loop_
_space_group_symop_operation_xyz
'x,y,z'
'-x,-y,-z'
loop_
_atom_site_label
_atom_site_type_symbol
_atom_site_fract_x
_atom_site_fract_y
_atom_site_fract_z
_atom_site_occupancy
Mg1 Mg 0.0000 0.0000 0.0000 1
V1 V 0.2268 0.3404 0.3990 1
V2 V 0.2780 0.8200 0.5301 1
H1 H 0.1945 0.3535 0.9905 1
H2 H 0.2583 0.2897 0.7875 1
H3 H 0.2919 0.9211 0.1759 1
H4 H 0.3928 0.7572 0.0129 1
O1 O 0.1139 0.6286 0.5106 1
O2 O 0.1467 0.2806 0.9137 1
O3 O 0.1749 0.8921 0.7447 1
O4 O 0.2527 0.0335 0.3885 1
O5 O 0.2675 0.8690 0.0746 1
O6 O 0.3483 0.3952 0.1804 1
O7 O 0.4295 0.2879 0.5347 1
```

Peak list (6 most intense, 2θ from 10° to 90°, by angle)
two_theta	I/Imax
12.03	100.0
24.19	28.7
27.69	20.0
29.40	33.3
30.76	23.7
31.64	19.1

***

# 5
MnPH6NO5: computed X-ray diffraction stick pattern (λ = 1.5418 Å (Cu Kα)), based on a GGA+U-relaxed structure.

Atomic structure:
```
data_MnPH6NO5
_chemical_formula_sum 'Mn4 P4 H24 N4 O20'
_cell_length_a 17.9813
_cell_length_b 5.8006
_cell_length_c 4.9230
_cell_angle_alpha 90.00
_cell_angle_beta 90.00
_cell_angle_gamma 90.00
_space_group_name_H-M_alt 'P n m a'
_space_group_IT_number 62
loop_
_space_group_symop_operation_xyz
'x,y,z'
'-x,-y,-z'
'-x+1/2,-y,z+1/2'
'x+1/2,y,-z+1/2'
'x+1/2,-y+1/2,-z+1/2'
'-x+1/2,y+1/2,z+1/2'
'-x,y+1/2,-z'
'x,-y+1/2,z'
loop_
_atom_site_label
_atom_site_type_symbol
_atom_site_fract_x
_atom_site_fract_y
_atom_site_fract_z
_atom_site_occupancy
Mn1 Mn 0.2382 0.2500 0.1297 1
P1 P 0.1509 0.7500 0.1949 1
H1 H 0.0203 0.7500 0.9204 1
H2 H 0.0216 0.7500 0.5680 1
H3 H 0.0450 0.1028 0.2563 1
H4 H 0.1515 0.1142 0.7011 1
N1 N 0.0123 0.2500 0.2572 1
O1 O 0.0653 0.7500 0.2453 1
O2 O 0.1442 0.2500 0.8184 1
O3 O 0.1662 0.7500 0.8886 1
O4 O 0.1877 0.5357 0.3378 1
```

Peak list (6 most intense, 2θ from 10° to 90°, by angle)
two_theta	I/Imax
18.20	29.5
20.57	35.8
28.05	27.1
30.83	49.6
31.04	100.0
34.54	22.8